This entry pairs a crystal structure of GaCoNO with its calculated powder diffraction line list. Radiation: Cu Ka. Structure: a PBE+U-relaxed structure.
Kinematic intensities with the Lorentz-polarization factor, no thermal factor.

Atomic structure:
a = 3.232 Å, b = 5.620 Å, c = 5.167 Å
α = 90.00°, β = 90.00°, γ = 90.00°
Positions (direct):
Ga  0.000  0.173  0.000
Ga  0.000  0.827  0.500
Co  0.500  0.343  0.508
Co  0.500  0.657  0.008
N  0.500  0.319  0.895
N  0.500  0.681  0.395
O  0.000  0.152  0.377
O  0.000  0.848  0.877

Top 6 peaks for 2θ = 15–90°, by angle:
h k l  d [Å]  I/Imax
1 1 0  2.804  50
0 0 2  2.583  38
0 2 1  2.465  100
1 1 2  1.900  22
1 3 0  1.621  22
0 2 3  1.468  31